Record 1
For LuAl2, a structure optimized by DFT (PBE) gives the simulated PXRD pattern in this record (Cu Ka).

Principal peaks in the range 2θ = 10–90°, low angle first:
2θ (°), intensity, h k l
19.81, 67, 1 1 1
32.63, 100, 2 2 0
38.46, 96, 3 1 1
58.23, 39, 4 2 2
62.14, 31, 5 1 1
68.36, 20, 4 4 0

Structural model:
a = 7.7622 Å, b = 7.7622 Å, c = 7.7622 Å
α = 90.00°, β = 90.00°, γ = 90.00°
Space group Fd-3m (No. 227, origin choice 2)
Symmetry-distinct sites (fractional):
Lu 0.1250 0.1250 0.1250 [8 per cell]
Al 0.0000 0.0000 0.5000 [16 per cell]



Record 2
For Ba2Zn7F18, a structure optimized by DFT (PBE) gives the simulated PXRD pattern in this record (Cu Ka).

Principal peaks in the range 2θ = 10–90°, low angle first:
2θ (°), intensity, h k l
26.08, 100, 1 -2 1
27.39, 78, 1 -1 2
28.14, 94, 0 2 -1
31.28, 79, -2 2 1
39.52, 77, 2 1 1
51.11, 67, 4 -2 0

Structural model:
```
data_Ba2Zn7F18
_chemical_formula_sum 'Ba2 Zn7 F18'
_cell_length_a 7.1624
_cell_length_b 7.4427
_cell_length_c 7.6377
_cell_angle_alpha 94.29
_cell_angle_beta 92.89
_cell_angle_gamma 116.34
_space_group_name_H-M_alt 'P -1'
_space_group_IT_number 2
_space_group_name_Hall '-P 1'
loop_
_atom_site_label
_atom_site_fract_x
_atom_site_fract_y
_atom_site_fract_z
Ba1 0.1840 0.3113 0.3678
Zn1 0.1090 0.7320 0.1234
Zn2 0.3089 0.1293 0.8210
Zn3 0.3206 0.6189 0.8068
Zn4 0.5000 0.0000 0.5000
F1 0.0010 0.0714 0.8149
F2 0.0207 0.4397 0.6771
F3 0.1791 0.4872 0.0263
F4 0.2019 0.8236 0.8788
F5 0.2178 0.9905 0.5575
F6 0.3901 0.2285 0.0748
F7 0.3978 0.3950 0.7141
F8 0.4069 0.8721 0.2385
F9 0.4207 0.7180 0.5719
```



Record 3
For Au2S, a structure optimized by DFT (PBE) gives the simulated PXRD pattern in this record (Cu Ka).

Principal peaks in the range 2θ = 10–90°, low angle first:
2θ (°), intensity, h k l
28.92, 100, 1 1 1
33.52, 43, 2 0 0
48.13, 44, 2 2 0
57.13, 46, 3 1 1
77.87, 19, 3 3 1
89.87, 16, 4 2 2

Structural model:
```
data_Au2S
_chemical_formula_sum 'Au4 S2'
_cell_length_a 5.3471
_cell_length_b 5.3471
_cell_length_c 5.3471
_cell_angle_alpha 90.00
_cell_angle_beta 90.00
_cell_angle_gamma 90.00
_space_group_name_H-M_alt 'P n -3 m'
_space_group_IT_number 224
loop_
_space_group_symop_operation_xyz
'x,y,z'
'-x,-y,-z'
'-y,x+1/2,z+1/2'
'y,-x+1/2,-z+1/2'
'-x+1/2,-y+1/2,z'
'x+1/2,y+1/2,-z'
'y+1/2,-x,z+1/2'
'-y+1/2,x,-z+1/2'
'x,-y+1/2,-z+1/2'
'-x,y+1/2,z+1/2'
'-y,-x,-z'
'y,x,z'
'-x+1/2,y,-z+1/2'
'x+1/2,-y,z+1/2'
'y+1/2,x+1/2,-z'
'-y+1/2,-x+1/2,z'
'z,x,y'
'-z,-x,-y'
'z+1/2,-y,x+1/2'
'-z+1/2,y,-x+1/2'
'z,-x+1/2,-y+1/2'
'-z,x+1/2,y+1/2'
'z+1/2,y+1/2,-x'
'-z+1/2,-y+1/2,x'
'-z+1/2,x,-y+1/2'
'z+1/2,-x,y+1/2'
'-z,-y,-x'
'z,y,x'
'-z+1/2,-x+1/2,y'
'z+1/2,x+1/2,-y'
'-z,y+1/2,x+1/2'
'z,-y+1/2,-x+1/2'
'y,z,x'
'-y,-z,-x'
'x+1/2,z+1/2,-y'
'-x+1/2,-z+1/2,y'
'-y+1/2,z,-x+1/2'
'y+1/2,-z,x+1/2'
'-x,z+1/2,y+1/2'
'x,-z+1/2,-y+1/2'
'-y+1/2,-z+1/2,x'
'y+1/2,z+1/2,-x'
'-x,-z,-y'
'x,z,y'
'y,-z+1/2,-x+1/2'
'-y,z+1/2,x+1/2'
'x+1/2,-z,y+1/2'
'-x+1/2,z,-y+1/2'
loop_
_atom_site_label
_atom_site_fract_x
_atom_site_fract_y
_atom_site_fract_z
Au1 0.0000 0.0000 0.0000
S1 0.2500 0.2500 0.2500
```



Record 4
For CaTaBiO5, a structure optimized by DFT (PBE) gives the simulated PXRD pattern in this record (Cu Ka).

Principal peaks in the range 2θ = 10–90°, low angle first:
2θ (°), intensity, h k l
16.05, 97, 1 0 0
23.47, 94, 1 1 -2
26.80, 100, 1 2 1
31.26, 48, 2 1 -1
31.49, 58, 1 3 -2
33.68, 33, 1 4 0

Structural model:
```
data_CaTaBiO5
_chemical_formula_sum 'Ca4 Ta4 Bi4 O20'
_cell_length_a 5.8820
_cell_length_b 12.1429
_cell_length_c 8.6449
_cell_angle_alpha 90.00
_cell_angle_beta 110.10
_cell_angle_gamma 90.00
_space_group_name_H-M_alt 'P 1 21/c 1'
_space_group_IT_number 14
_space_group_name_Hall '-P 2ybc'
loop_
_atom_site_label
_atom_site_fract_x
_atom_site_fract_y
_atom_site_fract_z
Ca1 0.0440 0.0848 0.1788
Ta1 0.3386 0.6411 0.0330
Bi1 0.4655 0.0904 0.8405
O1 0.1907 0.7206 0.4950
O2 0.2368 0.5535 0.1806
O3 0.2717 0.0258 0.0131
O4 0.2971 0.5667 0.8328
O5 0.3447 0.1832 0.3674
```



Record 5
For PrOF, a structure optimized by DFT (PBE) gives the simulated PXRD pattern in this record (Cu Ka).

Principal peaks in the range 2θ = 10–90°, low angle first:
2θ (°), intensity, h k l
27.06, 100, 1 1 1
31.35, 28, 2 0 0
44.93, 58, 2 2 0
53.24, 46, 3 1 1
72.15, 18, 3 3 1
82.88, 18, 4 2 2

Structural model:
```
data_PrOF
_chemical_formula_sum 'Pr4 O4 F4'
_cell_length_a 5.7064
_cell_length_b 5.7064
_cell_length_c 5.7064
_cell_angle_alpha 90.00
_cell_angle_beta 90.00
_cell_angle_gamma 90.00
_space_group_name_H-M_alt 'F -4 3 m'
_space_group_IT_number 216
_space_group_name_Hall 'F -4 2 3'
loop_
_atom_site_label
_atom_site_fract_x
_atom_site_fract_y
_atom_site_fract_z
Pr1 0.0000 0.0000 0.0000
O1 0.2500 0.2500 0.7500
F1 0.2500 0.2500 0.2500
```



Record 6
For NpPa3, a structure optimized by DFT (PBE) gives the simulated PXRD pattern in this record (Cu Ka).

Principal peaks in the range 2θ = 10–90°, low angle first:
2θ (°), intensity, h k l
31.95, 33, 0 0 2
33.45, 22, 2 0 0
37.20, 100, 2 0 1
46.93, 18, 2 0 2
60.43, 25, 2 0 3
69.42, 22, 2 2 2

Structural model:
```
data_NpPa3
_chemical_formula_sum 'Np2 Pa6'
_cell_length_a 6.1862
_cell_length_b 6.1862
_cell_length_c 5.6027
_cell_angle_alpha 90.00
_cell_angle_beta 90.00
_cell_angle_gamma 120.00
_space_group_name_H-M_alt 'P 63/m m c'
_space_group_IT_number 194
_space_group_name_Hall '-P 6c 2c'
loop_
_atom_site_label
_atom_site_fract_x
_atom_site_fract_y
_atom_site_fract_z
Np1 0.3333 0.6667 0.2500
Pa1 0.1677 0.3355 0.7500
```



Record 7
For EuCoGe3, a structure optimized by DFT (PBE) gives the simulated PXRD pattern in this record (Cu Ka).

Principal peaks in the range 2θ = 10–90°, low angle first:
2θ (°), intensity, h k l
34.01, 43, 1 0 3
34.32, 100, 1 1 2
41.61, 54, 2 0 0
54.79, 21, 2 1 3
60.30, 18, 2 2 0
71.26, 24, 3 1 2

Structural model:
```
data_EuCoGe3
_chemical_formula_sum 'Eu2 Co2 Ge6'
_cell_length_a 4.3412
_cell_length_b 4.3412
_cell_length_c 9.9527
_cell_angle_alpha 90.00
_cell_angle_beta 90.00
_cell_angle_gamma 90.00
_space_group_name_H-M_alt 'I 4 m m'
_space_group_IT_number 107
_space_group_name_Hall 'I 4 -2'
loop_
_atom_site_label
_atom_site_fract_x
_atom_site_fract_y
_atom_site_fract_z
Eu1 0.0000 0.0000 0.0000
Co1 0.0000 0.0000 0.3413
Ge1 0.0000 0.0000 0.5723
Ge2 0.0000 0.5000 0.2483
```



Record 8
For TlCl, a structure optimized by DFT (PBE) gives the simulated PXRD pattern in this record (Cu Ka).

Principal peaks in the range 2θ = 10–90°, low angle first:
2θ (°), intensity, h k l
21.57, 53, 1 1 0
23.36, 78, 0 2 1
28.51, 100, 1 1 1
28.74, 49, 0 4 0
35.20, 64, 1 3 1
47.79, 37, 0 4 2

Structural model:
```
data_TlCl
_chemical_formula_sum 'Tl4 Cl4'
_cell_length_a 4.3670
_cell_length_b 12.4256
_cell_length_c 4.8180
_cell_angle_alpha 90.00
_cell_angle_beta 90.00
_cell_angle_gamma 90.00
_space_group_name_H-M_alt 'C m c m'
_space_group_IT_number 63
_space_group_name_Hall '-C 2c 2'
loop_
_atom_site_label
_atom_site_fract_x
_atom_site_fract_y
_atom_site_fract_z
Tl1 0.0000 0.1195 0.2500
Cl1 0.0000 0.3615 0.2500
```



Record 9
For AgPd, a structure optimized by DFT (PBE) gives the simulated PXRD pattern in this record (Cu Ka).

Principal peaks in the range 2θ = 10–90°, low angle first:
2θ (°), intensity, h k l
38.42, 100, 0 1 2
38.64, 33, 0 0 6
44.73, 64, 1 0 4
64.96, 20, 1 1 0
65.25, 20, 0 1 8
78.21, 24, 1 1 6

Structural model:
```
data_AgPd
_chemical_formula_sum 'Ag3 Pd3'
_cell_length_a 2.8713
_cell_length_b 2.8713
_cell_length_c 13.9817
_cell_angle_alpha 90.00
_cell_angle_beta 90.00
_cell_angle_gamma 120.00
_space_group_name_H-M_alt 'R -3 m'
_space_group_IT_number 166
_space_group_name_Hall '-R 3 2"'
loop_
_atom_site_label
_atom_site_fract_x
_atom_site_fract_y
_atom_site_fract_z
Ag1 0.0000 0.0000 0.0000
Pd1 0.0000 0.0000 0.5000
```